Starting from a DFT-relaxed cell (GGA+U, Alexandria), the XRD peak list of Sr3Hf2MnO9 was computed for a wavelength of 1.5418 Å.

The 6 most intense peaks (2θ from 10° to 80°), by angle:
2theta  d/Å  I (rel.)
22.0  4.038  17
31.3  2.855  100
44.9  2.019  31
55.8  1.648  40
65.4  1.428  19
74.3  1.277  18

Cell: 5.707 5.707 7.001 Å, 90.00 90.00 120.00°
Fractional positions:
1 Sr 0.000 0.000 0.000
2 Sr 0.333 0.667 0.662
3 Sr 0.667 0.333 0.338
4 Hf 0.333 0.667 0.175
5 Hf 0.667 0.333 0.825
6 Mn 0.000 0.000 0.500
7 O 0.000 0.500 0.000
8 O 0.160 0.321 0.342
9 O 0.160 0.840 0.342
10 O 0.321 0.160 0.658
11 O 0.500 0.000 0.000
12 O 0.500 0.500 0.000
13 O 0.679 0.840 0.342
14 O 0.840 0.160 0.658
15 O 0.840 0.679 0.658